Record 1
Theoretical powder XRD pattern
Compound: Sr4Fe6Bi7PbO24
Radiation: a wavelength of 1.5418 Å
Structure: a cell relaxed with PBE+U
Lines closer than 0.1° are merged.

Cell and atoms:
```
42
Lattice="5.4346 0.0000 0.0000 0.0000 2.7180 20.6431 0.0000 -2.7180 20.6431" Properties=species:S:1:pos:R:3 pbc="T T T"
Sr 0.0000 0.0000 0.0000
Sr 0.0000 0.0000 12.3455
Sr 2.7173 0.0000 20.6090
Sr 2.7173 0.0000 32.9926
Fe 0.0000 0.0000 22.5727
Fe 0.0000 0.0000 26.7328
Fe 0.0000 0.0000 31.0204
Fe 2.7173 0.0000 1.9289
Fe 2.7173 0.0000 6.0903
Fe 2.7173 0.0000 10.3813
Bi 0.0000 0.0000 4.2556
Bi 0.0000 0.0000 8.5076
Bi 0.0000 0.0000 17.6901
Bi 0.0000 0.0000 35.6651
Bi 2.7173 0.0000 24.9035
Bi 2.7173 0.0000 29.1535
Bi 2.7173 0.0000 38.3348
Pb 2.7173 0.0000 15.0669
O 0.0000 0.0000 14.7858
O 0.0000 0.0000 19.7539
O 0.0000 0.0000 24.5202
O 0.0000 0.0000 28.7342
O 0.0000 0.0000 33.0027
O 0.0000 0.0000 37.9894
O 1.3585 -1.3586 22.2179
O 1.3599 -1.3602 26.4241
O 1.3571 -1.3578 30.7013
O 1.3585 1.3586 22.2179
O 1.3599 1.3602 26.4241
O 1.3571 1.3578 30.7013
O 2.7173 0.0000 3.8783
O 2.7173 0.0000 8.0897
O 2.7173 0.0000 12.3355
O 2.7173 0.0000 17.5784
O 2.7173 0.0000 35.4326
O 2.7173 0.0000 40.3978
O 4.0761 -1.3586 22.2179
O 4.0748 -1.3602 26.4241
O 4.0776 -1.3578 30.7013
O 4.0761 1.3586 22.2179
O 4.0748 1.3602 26.4241
O 4.0776 1.3578 30.7013
```

Main lines, most intense first (10° ≤ 2θ ≤ 90°):
| two_theta | d [Å] | I_rel |
| --- | --- | --- |
| 30.34 | 2.946 | 100.0 |
| 32.96 | 2.718 | 58.2 |
| 57.24 | 1.610 | 36.6 |
| 47.30 | 1.922 | 28.3 |
| 52.22 | 1.752 | 20.3 |
| 24.04 | 3.702 | 13.4 |


Record 2
Theoretical powder XRD pattern
Compound: TiFe2Bi2PbO9
Radiation: a wavelength of 1.5418 Å
Structure: a cell relaxed with PBE+U
Lines closer than 0.1° are merged.

Cell and atoms:
```
30
Lattice="5.6414 0.0000 0.0000 -2.8207 4.8856 0.0000 0.0000 0.0000 14.0420" Properties=species:S:1:pos:R:3 pbc="T T T"
Ti 0.0000 0.0000 0.0000
Ti 0.0000 3.2571 2.4664
Fe 0.0000 0.0000 7.0013
Fe 0.0000 3.2571 9.3728
Fe 2.8207 1.6285 4.7479
Fe 2.8207 1.6285 11.6678
Bi 0.0000 0.0000 10.8335
Bi 0.0000 3.2571 6.2667
Bi 0.0000 3.2571 13.1922
Bi 2.8207 1.6285 8.5146
Pb 0.0000 0.0000 3.8491
Pb 2.8207 1.6285 1.4319
O -1.5594 3.6559 8.0152
O -0.2077 1.6790 0.8850
O -1.2628 4.2260 0.8850
O 0.4343 1.7072 8.0152
O 1.1142 1.1187 12.6298
O 1.5845 0.4329 5.7216
O 2.3883 0.0849 10.3300
O 1.3212 2.2744 3.3066
O 3.0111 0.0070 3.3066
O 1.7001 2.7748 10.3300
O 1.1251 4.4081 8.0152
O 1.4705 3.8662 0.8850
O 2.4033 3.2969 5.7216
O 4.1155 0.4056 12.6298
O 4.4742 1.1558 5.7216
O 3.2324 3.3613 12.6298
O 4.3737 2.0259 10.3300
O 4.1298 2.6042 3.3066
```

Main lines, most intense first (10° ≤ 2θ ≤ 90°):
| two_theta | d [Å] | I_rel |
| --- | --- | --- |
| 31.38 | 2.851 | 100.0 |
| 31.72 | 2.821 | 96.4 |
| 22.17 | 4.010 | 77.2 |
| 45.22 | 2.005 | 48.9 |
| 56.29 | 1.634 | 41.7 |
| 39.04 | 2.307 | 33.1 |


Record 3
Theoretical powder XRD pattern
Compound: TiFeBiPbO6
Radiation: a wavelength of 1.5418 Å
Structure: a cell relaxed with PBE+U
Lines closer than 0.1° are merged.

Cell and atoms:
```
10
Lattice="-2.7082 2.7212 4.6823 2.7082 -2.7212 4.6823 2.7082 2.7212 -4.6823" Properties=species:S:1:pos:R:3 pbc="T T T"
Ti 0.0000 0.0000 0.0000
Fe 0.0000 0.0000 4.5510
Bi 2.7082 0.0000 1.8102
Pb 0.0000 2.7212 2.1345
O 0.0000 0.0000 2.7039
O 1.3781 1.3307 0.5043
O 4.0384 1.3307 0.5042
O -1.3301 1.3906 5.1865
O 1.3301 1.3906 5.1865
O 0.0000 0.0000 7.6071
```

Main lines, most intense first (10° ≤ 2θ ≤ 90°):
| two_theta | d [Å] | I_rel |
| --- | --- | --- |
| 30.10 | 2.969 | 100.0 |
| 18.95 | 4.683 | 30.7 |
| 23.17 | 3.839 | 27.7 |
| 33.08 | 2.708 | 25.4 |
| 47.36 | 1.919 | 24.2 |
| 51.47 | 1.775 | 20.0 |


Record 4
Theoretical powder XRD pattern
Compound: TiFe3Bi3PbO12
Radiation: a wavelength of 1.5418 Å
Structure: a cell relaxed with PBE+U
Lines closer than 0.1° are merged.

Cell and atoms:
```
20
Lattice="5.4514 0.0000 0.0000 2.5134 5.4504 0.0000 2.5952 -0.1336 9.3432" Properties=species:S:1:pos:R:3 pbc="T T T"
Ti 0.0000 0.0000 0.0000
Fe 2.5721 2.6092 4.6691
Fe 5.3117 1.2983 6.9011
Fe 5.3147 4.0285 2.1532
Bi 5.4365 4.4176 5.5047
Bi 8.1030 2.8576 8.0538
Bi 5.6736 0.2096 3.3976
Pb 2.8088 1.8445 1.0225
O 2.4119 0.8925 3.9127
O 5.0636 3.7636 8.5055
O 3.9412 2.5716 6.1056
O 3.8839 1.0166 8.2943
O 3.8682 3.7794 3.6440
O 3.8807 5.2135 1.3560
O 7.7184 5.2860 5.7113
O 6.6534 2.5881 6.1404
O 6.5843 3.7594 3.7119
O 6.6413 5.2663 1.3851
O 6.6881 1.0250 8.3348
O 5.3613 2.5002 1.0862
```

Main lines, most intense first (10° ≤ 2θ ≤ 90°):
| two_theta | d [Å] | I_rel |
| --- | --- | --- |
| 32.90 | 2.722 | 100.0 |
| 18.97 | 4.678 | 78.5 |
| 29.39 | 3.040 | 70.5 |
| 29.86 | 2.992 | 69.2 |
| 30.39 | 2.941 | 65.4 |
| 30.60 | 2.921 | 64.7 |


Record 5
Theoretical powder XRD pattern
Compound: TiFe2Bi2PbO9
Radiation: a wavelength of 1.5418 Å
Structure: a cell relaxed with PBE+U
Lines closer than 0.1° are merged.

Cell and atoms:
```
30
Lattice="5.6529 0.0000 0.0000 -2.8264 4.8955 0.0000 0.0000 0.0000 14.1849" Properties=species:S:1:pos:R:3 pbc="T T T"
Ti 0.0000 0.0000 0.0000
Ti 0.0000 3.2637 9.4449
Fe 0.0000 0.0000 7.2533
Fe 0.0000 3.2637 2.4203
Fe 2.8264 1.6318 4.8161
Fe 2.8264 1.6318 11.9507
Bi 0.0000 0.0000 3.1714
Bi 0.0000 3.2637 5.5500
Bi 0.0000 3.2637 12.5987
Bi 2.8264 1.6318 7.8990
Pb 0.0000 0.0000 10.5590
Pb 2.8264 1.6318 1.0697
O -1.5250 2.8013 3.8907
O -1.2210 2.2950 10.9769
O -1.5709 3.8094 8.5762
O -0.2379 1.5360 1.5042
O -1.3773 4.3336 1.5042
O 0.3129 1.6304 8.5762
O 1.2773 1.0566 13.2931
O 1.6713 0.5353 6.2824
O 1.1629 2.1742 3.8907
O -0.2284 4.8054 10.9769
O 1.4494 2.6906 10.9769
O 0.3620 4.8155 3.8907
O 1.2580 4.3513 8.5762
O 1.6152 3.9215 1.5042
O 2.4543 3.1805 6.2824
O 4.0992 0.5778 13.2931
O 3.1029 3.2611 13.2931
O 4.3536 1.1798 6.2824
```

Main lines, most intense first (10° ≤ 2θ ≤ 90°):
| two_theta | d [Å] | I_rel |
| --- | --- | --- |
| 31.66 | 2.826 | 100.0 |
| 31.14 | 2.872 | 99.1 |
| 22.06 | 4.029 | 80.3 |
| 45.00 | 2.014 | 47.8 |
| 56.06 | 1.640 | 40.7 |
| 38.92 | 2.314 | 34.6 |


Record 6
Theoretical powder XRD pattern
Compound: Ti2Fe3Bi3Pb2O15
Radiation: a wavelength of 1.5418 Å
Structure: a cell relaxed with PBE+U
Lines closer than 0.1° are merged.

Cell and atoms:
```
25
Lattice="2.6923 -13.3976 0.0000 2.6923 13.3976 0.0000 0.0000 0.0000 4.7932" Properties=species:S:1:pos:R:3 pbc="T T T"
Ti 2.6923 7.9998 0.0000
Ti 2.6923 -7.9998 0.0000
Fe 0.0000 0.0000 4.7311
Fe 2.6923 2.6924 4.7645
Fe 2.6923 -2.6924 4.7645
Bi 2.6923 10.7793 1.9647
Bi 2.6923 0.0000 2.0180
Bi 2.6923 -10.7794 1.9647
Pb 2.6923 5.2275 2.2045
Pb 2.6923 -5.2275 2.2045
O 0.0000 0.0000 2.8889
O 1.3461 6.6988 0.4844
O 1.3002 3.9970 0.6285
O 2.6923 8.1319 3.0372
O 1.3509 1.3258 0.6369
O 1.3509 -1.3259 0.6369
O 1.3002 -3.9970 0.6285
O 2.6923 2.5983 2.9161
O 1.3461 -6.6988 0.4844
O 2.6923 -2.5983 2.9161
O 4.0843 3.9970 0.6285
O 4.0336 1.3259 0.6369
O 4.0336 -1.3258 0.6369
O 2.6923 -8.1319 3.0372
O 4.0843 -3.9970 0.6285
```

Main lines, most intense first (10° ≤ 2θ ≤ 90°):
| two_theta | d [Å] | I_rel |
| --- | --- | --- |
| 30.02 | 2.977 | 100.0 |
| 18.51 | 4.793 | 29.3 |
| 23.42 | 3.798 | 25.3 |
| 47.90 | 1.899 | 21.3 |
| 33.28 | 2.692 | 18.7 |
| 44.71 | 2.027 | 18.0 |


Record 7
Theoretical powder XRD pattern
Compound: Ti4FeBiPb4O15
Radiation: a wavelength of 1.5418 Å
Structure: a cell relaxed with PBE+U
Lines closer than 0.1° are merged.

Cell and atoms:
```
25
Lattice="2.7253 -13.5784 0.0000 2.7253 13.5784 0.0000 0.0000 0.0000 4.7332" Properties=species:S:1:pos:R:3 pbc="T T T"
Ti 2.7253 10.8019 0.0000
Ti 2.7253 5.4285 4.7256
Ti 2.7253 -5.4285 4.7256
Ti 2.7253 -10.8019 0.0000
Fe 2.7253 0.0000 0.0054
Bi 0.0000 0.0000 2.8423
Pb 2.7253 8.1259 2.6088
Pb 2.7253 2.5783 2.5490
Pb 2.7253 -2.5783 2.5490
Pb 2.7253 -8.1259 2.6088
O 1.3626 6.7892 4.1786
O 2.7253 10.9176 1.7517
O 1.3673 4.0688 4.2415
O 1.3126 1.3492 4.1377
O 1.3126 -1.3492 4.1377
O 2.7253 5.4884 1.7397
O 1.3673 -4.0688 4.2415
O 1.3626 -6.7892 4.1786
O 2.7253 0.0000 1.8673
O 4.0833 4.0688 4.2415
O 2.7253 -5.4884 1.7397
O 4.1380 1.3492 4.1377
O 4.1380 -1.3492 4.1377
O 4.0833 -4.0688 4.2415
O 2.7253 -10.9176 1.7517
```

Main lines, most intense first (10° ≤ 2θ ≤ 90°):
| two_theta | d [Å] | I_rel |
| --- | --- | --- |
| 29.93 | 2.985 | 100.0 |
| 23.12 | 3.847 | 28.5 |
| 18.75 | 4.733 | 28.0 |
| 38.07 | 2.364 | 25.7 |
| 51.16 | 1.786 | 22.3 |
| 47.25 | 1.924 | 21.3 |


Record 8
Theoretical powder XRD pattern
Compound: TiFe2Bi2PbO9
Radiation: a wavelength of 1.5418 Å
Structure: a cell relaxed with PBE+U
Lines closer than 0.1° are merged.

Cell and atoms:
```
15
Lattice="2.7011 -8.0734 0.0000 2.7011 8.0734 0.0000 0.0000 0.0000 4.7655" Properties=species:S:1:pos:R:3 pbc="T T T"
Ti 0.0000 0.0000 0.0000
Fe 2.7011 2.6441 4.6938
Fe 2.7011 -2.6441 4.6938
Bi 2.7011 5.2598 1.9667
Bi 2.7011 -5.2598 1.9667
Pb 2.7011 0.0000 2.1289
O 0.0000 0.0000 3.0096
O 1.3505 4.0367 0.5983
O 1.3157 1.3562 0.5744
O 2.7011 2.8895 2.8483
O 1.3157 -1.3562 0.5744
O 1.3505 -4.0367 0.5983
O 4.0864 1.3562 0.5744
O 2.7011 -2.8895 2.8483
O 4.0864 -1.3562 0.5744
```

Main lines, most intense first (10° ≤ 2θ ≤ 90°):
| two_theta | d [Å] | I_rel |
| --- | --- | --- |
| 30.01 | 2.977 | 100.0 |
| 18.62 | 4.765 | 29.5 |
| 23.33 | 3.813 | 25.0 |
| 47.70 | 1.906 | 20.4 |
| 33.17 | 2.701 | 18.8 |
| 44.86 | 2.021 | 18.5 |


Record 9
Theoretical powder XRD pattern
Compound: Zr4FeBiPb4O15
Radiation: a wavelength of 1.5418 Å
Structure: a cell relaxed with PBE+U
Lines closer than 0.1° are merged.

Cell and atoms:
```
50
Lattice="5.1036 -14.6597 0.0000 5.1036 14.6597 0.0000 -3.3742 0.0000 4.8920" Properties=species:S:1:pos:R:3 pbc="T T T"
Zr 3.4166 13.1711 2.4460
Zr 1.7632 10.2555 4.8654
Zr 1.7575 4.4241 4.8690
Zr 3.4091 1.4979 2.4489
Zr 5.0962 -1.4979 0.0029
Zr 3.4446 -4.4241 2.4229
Zr 3.4503 -10.2555 2.4194
Zr 5.1036 -13.1711 0.0000
Fe 3.3852 7.3193 2.5111
Fe 5.0723 -7.3193 0.0651
Bi -0.0097 7.3547 4.2561
Bi 1.6774 -7.3547 1.8101
Pb 1.7055 4.5579 1.5260
Pb 0.0184 1.4601 3.9889
Pb 1.7055 -1.4601 1.5429
Pb 0.0184 -4.5579 3.9720
Pb 5.1798 4.5337 3.9623
Pb 6.8021 1.4546 1.5335
Pb 5.1150 -1.4546 3.9795
Pb 6.8669 -4.5337 1.5163
O 2.7971 -14.4437 3.4508
O 4.4842 14.4437 1.0047
O 2.2491 11.7947 3.4628
O 3.9509 11.5921 1.0114
O 0.0741 4.1581 3.4760
O 1.7729 1.7645 1.0082
O 2.8228 8.9750 3.3983
O 4.4562 8.4991 0.9534
O 2.2484 6.0222 3.4257
O 3.8969 5.8402 0.9615
O 0.0858 -1.7645 3.4542
O 1.7612 -4.1581 1.0300
O 2.7877 3.1712 3.4757
O 4.4905 2.7615 1.0174
O 2.2734 0.0876 3.4536
O 3.9605 -0.0875 1.0076
O 5.1976 7.0127 3.3408
O 6.8460 4.8415 1.0573
O 2.8034 -2.7615 3.4634
O 4.4748 -3.1712 1.0296
O 2.2098 -5.8401 3.4075
O 3.9355 -6.0222 0.9797
O 5.1898 1.1566 3.4550
O 6.8768 -1.1566 1.0090
O 2.7692 -8.4991 3.3994
O 4.5099 -8.9750 0.9523
O 2.2638 -11.5921 3.4574
O 3.9362 -11.7947 1.0168
O 5.1589 -4.8415 3.5033
O 6.8847 -7.0127 0.8947
```

Main lines, most intense first (10° ≤ 2θ ≤ 90°):
| two_theta | d [Å] | I_rel |
| --- | --- | --- |
| 30.02 | 2.977 | 100.0 |
| 30.37 | 2.943 | 69.0 |
| 53.86 | 1.702 | 34.8 |
| 30.49 | 2.932 | 33.4 |
| 43.36 | 2.087 | 31.9 |
| 21.29 | 4.174 | 27.4 |